For CsAuI2O8, a crystal structure in Alexandria, relaxed with GGA-PBE gives the simulated powder X-ray diffraction pattern in this record (a wavelength of 1.5418 Å).

Atomic structure:
a b c (Å): 6.8052 6.8052 7.9189
angles (deg): 114.30 114.30 51.48
Positions (direct):
Cs: 0.0000 0.0000 0.0000
Au: 0.5000 0.5000 0.5000
I: 0.2000 0.2000 0.6637
I: 0.8000 0.8000 0.3363
O: 0.1388 0.6297 0.3088
O: 0.1816 0.1816 0.4253
O: 0.3626 0.3626 0.8281
O: 0.3703 0.8612 0.6912
O: 0.6297 0.1388 0.3088
O: 0.6374 0.6374 0.1719
O: 0.8184 0.8184 0.5747
O: 0.8612 0.3703 0.6912

Peak list (10 most intense, 10° ≤ 2θ ≤ 90°, by angle)
2θ = 12.6°, d 7.044, rel. 46; 2θ = 23.0°, d 3.873, rel. 74; 2θ = 23.4°, d 3.805, rel. 91; 2θ = 26.6°, d 3.356, rel. 100; 2θ = 30.2°, d 2.955, rel. 35; 2θ = 35.9°, d 2.499, rel. 18; 2θ = 38.3°, d 2.349, rel. 31; 2θ = 38.5°, d 2.339, rel. 21; 2θ = 44.6°, d 2.034, rel. 21; 2θ = 51.5°, d 1.775, rel. 21